Entry 1:
For Ni13P2, DFT lattice parameters and positions (GGA-PBE) gives the calculated X-ray powder pattern in this record (Cu Kα, 1.54184 Å).
Lines closer than 0.1° are merged.

Most intense lines, 2θ = 5–70°, low angle first:
d [Å], intensity, (hkl)
2.471, 275, -1 1 2
2.094, 1000, 1 2 0
2.081, 241, 2 0 -1
2.061, 999, 0 2 -3
1.982, 598, 2 -1 1
1.918, 684, -1 1 3
1.904, 601, 1 0 3
1.853, 306, 1 -3 1
1.816, 407, 1 -3 0
1.783, 350, 2 1 -2

Cell: 4.279 5.777 7.235 Å, 104.31 95.61 100.27°
Positions (direct):
Ni 0.000 0.000 0.000
Ni 0.101 0.427 0.274
Ni 0.216 0.400 0.935
Ni 0.237 0.863 0.535
Ni 0.331 0.390 0.601
Ni 0.358 0.786 0.184
Ni 0.444 0.790 0.860
Ni 0.556 0.210 0.140
Ni 0.642 0.214 0.816
Ni 0.669 0.610 0.399
Ni 0.763 0.137 0.465
Ni 0.784 0.600 0.065
Ni 0.899 0.573 0.726
P 0.211 0.102 0.331
P 0.789 0.898 0.669

---

Entry 2:
For La2Ti2O7, DFT lattice parameters and positions (GGA-PBE) gives the calculated X-ray powder pattern in this record (Cu Kα, 1.54184 Å).
Lines closer than 0.1° are merged.

Most intense lines, 2θ = 5–70°, low angle first:
d [Å], intensity, (hkl)
4.259, 472, 0 1 2
3.279, 461, 0 0 4
3.177, 281, 2 1 0
3.005, 1000, 2 1 -2
2.830, 277, 0 1 4
2.801, 360, 0 2 0
2.734, 328, 2 1 -3
2.731, 255, 2 1 2
2.130, 267, 0 2 4
1.949, 301, 4 0 -1

Cell: 7.798 5.602 13.261 Å, 90.00 98.51 90.00°
Positions (direct):
La 0.147 0.000 0.077
La 0.228 0.402 0.406
La 0.280 0.895 0.617
La 0.350 0.446 0.886
La 0.650 0.946 0.114
La 0.720 0.395 0.383
La 0.772 0.902 0.594
La 0.853 0.500 0.923
Ti 0.032 0.409 0.620
Ti 0.073 0.940 0.821
Ti 0.418 0.446 0.175
Ti 0.472 0.907 0.378
Ti 0.528 0.407 0.622
Ti 0.582 0.946 0.825
Ti 0.927 0.440 0.179
Ti 0.968 0.909 0.380
O 0.027 0.092 0.684
O 0.039 0.660 0.519
O 0.082 0.202 0.906
O 0.110 0.603 0.727
O 0.125 0.721 0.929
O 0.174 0.354 0.195
O 0.223 0.948 0.391
O 0.273 0.323 0.592
O 0.328 0.982 0.807
O 0.380 0.723 0.108
O 0.406 0.234 0.061
O 0.436 0.588 0.317
O 0.472 0.661 0.522
O 0.496 0.098 0.270
O 0.504 0.598 0.730
O 0.528 0.161 0.478
O 0.564 0.088 0.683
O 0.594 0.734 0.939
O 0.620 0.223 0.892
O 0.672 0.482 0.193
O 0.727 0.823 0.408
O 0.777 0.448 0.609
O 0.826 0.854 0.805
O 0.875 0.221 0.071
O 0.890 0.103 0.273
O 0.918 0.702 0.094
O 0.961 0.160 0.481
O 0.973 0.592 0.316